1.
# Y2Ga8Co
Calculated XRD peak list, Cu Kα. Input: a GGA-PBE-relaxed structure.
Kinematic intensities with the Lorentz-polarization factor, no thermal factor.

Peak list (10 most intense, 2θ from 5° to 70°, by angle)
Position (°2θ)	Rel. int.	h k l
20.8	6	1 0 0
30.7	6	1 1 1
33.8	48	1 1 2
38.5	100	1 1 3
40.7	22	0 0 5
42.4	62	2 0 0
44.4	13	1 1 4
60.2	28	2 0 5
61.5	20	2 2 0
66.7	5	1 1 7

Unit cell a=4.267 b=4.267 c=11.078 alpha=90.00 beta=90.00 gamma=90.00
Space group P4/mmm (No. 123)
Symmetry-distinct sites (fractional):
Y  0.000  0.000  0.194 x2
Ga  0.000  0.500  0.000 x2
Ga  0.000  0.500  0.384 x4
Ga  0.500  0.500  0.202 x2
Co  0.000  0.000  0.500 x1

2.
# Y2GaCo2
Calculated XRD peak list, Cu Kα. Input: a GGA-PBE-relaxed structure.
Kinematic intensities with the Lorentz-polarization factor, no thermal factor.

Peak list (10 most intense, 2θ from 5° to 70°, by angle)
Position (°2θ)	Rel. int.	h k l
34.9	100	1 1 2
36.1	22	0 1 3
39.2	18	1 0 3
39.4	20	0 2 2
41.3	52	1 2 1
43.2	16	0 0 4
44.7	27	2 0 0
58.8	10	2 1 3
60.8	12	0 3 3
69.9	24	1 2 5

Unit cell a=4.053 b=5.452 c=8.380 alpha=90.00 beta=90.00 gamma=90.00
Space group Immm (No. 71)
Symmetry-distinct sites (fractional):
Y  0.000  0.000  0.207 x4
Ga  0.000  0.500  0.000 x2
Co  0.000  0.286  0.500 x4

3.
# ZnGaCo2
Calculated XRD peak list, Cu Kα. Input: a GGA-PBE-relaxed structure.
Kinematic intensities with the Lorentz-polarization factor, no thermal factor.

Peak list (3 most intense, 2θ from 5° to 70°, by angle)
Position (°2θ)	Rel. int.	h k l
31.1	1	2 0 0
44.5	100	2 2 0
64.8	15	4 0 0

Unit cell a=5.758 b=5.758 c=5.758 alpha=90.00 beta=90.00 gamma=90.00
Space group Fm-3m (No. 225)
Symmetry-distinct sites (fractional):
Zn  0.000  0.000  0.000 x4
Ga  0.000  0.000  0.500 x4
Co  0.250  0.250  0.250 x8

4.
# ZnGa11Co4
Calculated XRD peak list, Cu Kα. Input: a GGA-PBE-relaxed structure.
Kinematic intensities with the Lorentz-polarization factor, no thermal factor.

Peak list (10 most intense, 2θ from 5° to 70°, by angle)
Position (°2θ)	Rel. int.	h k l
34.5	76	1 2 -1
40.1	28	0 2 2
42.7	56	1 2 -2
42.8	100	2 2 -1
43.0	58	2 2 1
45.4	35	1 0 -3
45.6	33	1 0 3
45.8	40	3 0 -1
46.0	27	3 0 1
57.5	32	0 4 0

Unit cell a=6.241 b=6.411 c=6.305 alpha=90.00 beta=90.37 gamma=90.00
Space group P2/m (No. 10)
Symmetry-distinct sites (fractional):
Zn  0.000  0.000  0.000 x1
Ga  0.000  0.500  0.000 x1
Ga  0.151  0.239  0.342 x4
Ga  0.345  0.256  0.848 x4
Ga  0.500  0.000  0.500 x1
Ga  0.500  0.500  0.500 x1
Co  0.157  0.000  0.648 x2
Co  0.345  0.500  0.156 x2

5.
# Zr6Ga2Co
Calculated XRD peak list, Cu Kα. Input: a GGA-PBE-relaxed structure.
Kinematic intensities with the Lorentz-polarization factor, no thermal factor.

Peak list (10 most intense, 2θ from 5° to 70°, by angle)
Position (°2θ)	Rel. int.	h k l
34.8	75	2 1 0
35.1	100	1 1 1
37.6	82	2 0 1
39.6	44	3 0 0
44.3	31	2 1 1
54.7	17	0 0 2
55.8	16	3 1 1
65.8	35	3 2 1
66.5	22	2 1 2
69.7	15	3 0 2

Unit cell a=7.8786 b=7.8786 c=3.3543 alpha=90.00 beta=90.00 gamma=120.00
Space group P-62m (No. 189)
Symmetry-distinct sites (fractional):
Zr  0.0000  0.2497  0.0000 x3
Zr  0.0000  0.5950  0.5000 x3
Ga  0.3333  0.6667  0.0000 x2
Co  0.0000  0.0000  0.5000 x1

6.
# ZrGa6Co6
Calculated XRD peak list, Cu Kα. Input: a GGA-PBE-relaxed structure.
Kinematic intensities with the Lorentz-polarization factor, no thermal factor.

Peak list (10 most intense, 2θ from 5° to 70°, by angle)
Position (°2θ)	Rel. int.	h k l
35.3	19	2 0 0
36.0	23	1 0 3
38.2	30	1 3 0
41.2	64	2 0 2
42.1	95	0 0 4
42.8	56	1 2 3
43.8	64	1 3 2
45.5	35	0 4 0
47.4	100	2 2 2
48.2	24	0 2 4

Unit cell a=5.091 b=7.971 c=8.585 alpha=90.00 beta=90.00 gamma=90.00
Space group Immm (No. 71)
Symmetry-distinct sites (fractional):
Zr  0.000  0.000  0.000 x2
Ga  0.000  0.290  0.500 x4
Ga  0.250  0.250  0.250 x8
Co  0.000  0.000  0.356 x4
Co  0.000  0.347  0.000 x4
Co  0.000  0.500  0.281 x4